CaSmO4: theoretical powder diffractogram (Cu Kα, 1.54184 Å), based on DFT lattice parameters and positions (GGA-PBE).
Lines closer than 0.1° are merged.

Structural model:
Cell: 6.8868 3.8569 6.6660 Å, 90.00 95.62 90.00°
Fractional positions:
Ca  0.0000  0.0000  0.0000
Ca  0.5000  0.5000  0.0000
Sm  0.1328  0.5000  0.5842
Sm  0.6328  0.0000  0.5842
O  0.1642  0.5000  0.9216
O  0.2302  0.0000  0.3357
O  0.4016  0.0000  0.2485
O  0.4644  0.5000  0.6303
O  0.6642  0.0000  0.9216
O  0.7302  0.5000  0.3357
O  0.9016  0.5000  0.2485
O  0.9644  0.0000  0.6303

Main lines, by intensity (15° ≤ 2θ ≤ 90°):
d (Å)  I_rel  index
3.058  100  1 1 -1
3.361  43  1 1 0
1.929  38  0 2 0
2.930  35  2 0 1
3.317  35  0 0 2
2.306  34  1 1 2
3.427  34  2 0 0
1.966  30  3 1 0
2.942  25  1 1 1
1.890  23  1 1 -3